Entry 1:
This entry pairs a crystal structure of BeTc2W with its calculated powder diffraction line list. Radiation: Cu Kα. Structure: a GGA-PBE-relaxed structure.

Principal peaks in the range 2θ from 5° to 70°, low angle first:
d/Å, 2θ/deg, I_rel
4.270, 20.80, 31
3.753, 23.71, 22
2.893, 30.91, 12
2.476, 36.28, 16
2.142, 42.18, 100
2.135, 42.33, 25
2.089, 43.31, 27
1.493, 62.17, 18

Structure:
```
BeTc2W
1.0
4.752 -1.537 0.000
4.752 1.537 0.000
-1.833 0.000 3.755
Be Tc W
1 2 1
Cartesian
0.000 0.000 0.000
3.803 0.000 1.859
6.619 0.000 0.907
0.981 0.000 2.801
```


Entry 2:
This entry pairs a crystal structure of Pm2SCl2 with its calculated powder diffraction line list. Radiation: Cu Kα. Structure: a GGA-PBE-relaxed structure.

Principal peaks in the range 2θ from 5° to 70°, low angle first:
d/Å, 2θ/deg, I_rel
10.034, 8.81, 100
3.474, 25.65, 27
3.171, 28.14, 26
3.024, 29.54, 72
2.562, 35.03, 42
2.019, 44.89, 31
1.931, 47.07, 26
1.679, 54.66, 12

Structure:
```
Pm2SCl2
1.0
2.019 1.166 10.034
-2.019 1.166 10.034
0.000 -2.331 10.034
Pm S Cl
2 1 2
Cartesian
0.000 0.000 3.499
0.000 0.000 26.604
0.000 0.000 15.051
0.000 0.000 8.231
0.000 0.000 21.871
```


Entry 3:
This entry pairs a crystal structure of CeCoI2 with its calculated powder diffraction line list. Radiation: Cu Kα. Structure: a GGA-PBE-relaxed structure.

Principal peaks in the range 2θ from 5° to 70°, low angle first:
d/Å, 2θ/deg, I_rel
3.397, 26.24, 100
3.324, 26.82, 77
3.108, 28.73, 39
2.919, 30.63, 22
2.446, 36.75, 95
2.166, 41.71, 57
1.976, 45.93, 62
1.667, 55.08, 38

Structure:
```
CeCoI2
1.0
1.976 1.141 9.323
-1.976 1.141 9.323
0.000 -2.281 9.323
Ce Co I
1 1 2
Cartesian
0.000 0.000 0.000
0.000 0.000 13.985
0.000 0.000 3.153
0.000 0.000 24.816
```


Entry 4:
This entry pairs a crystal structure of CaMgHg3 with its calculated powder diffraction line list. Radiation: Cu Kα. Structure: a GGA-PBE-relaxed structure.

Principal peaks in the range 2θ from 5° to 70°, low angle first:
d/Å, 2θ/deg, I_rel
4.298, 20.67, 53
3.060, 29.19, 20
3.018, 29.59, 34
2.729, 32.81, 100
2.313, 38.94, 23
2.149, 42.05, 21
1.933, 47.02, 20
1.681, 54.58, 24

Structure:
```
CaMgHg3
1.0
7.066 0.000 0.000
-3.533 6.120 0.000
0.000 0.000 6.037
Ca Mg Hg
2 2 6
Cartesian
0.000 4.080 1.509
3.533 2.040 4.528
0.000 0.000 0.000
0.000 0.000 3.018
0.000 2.369 4.528
-1.482 4.935 4.528
2.052 1.184 1.509
1.482 4.935 4.528
5.015 1.184 1.509
3.533 3.751 1.509
```